No. 1
Calculated X-ray powder pattern of NdTlMoO5 for Cu Kα (weighted mean of Kα1 and Kα2), from a DFT-relaxed cell (PBE+U, Alexandria).
No peak broadening, texture or thermal motion is included.

Main lines, in order of falling intensity (15 to 90 degrees two-theta):
(hkl)  d/Å  Position (°2θ)  Rel. int.
2 0 0  3.600  24.73  100.0
1 3 0  3.182  28.04  99.7
0 2 2  3.091  28.89  91.1
1 1 -2  3.936  22.59  77.9
2 2 -2  2.936  30.44  62.3
1 5 -2  1.902  47.82  33.1
2 2 2  2.009  45.12  31.1
3 3 0  1.988  45.64  28.3
3 5 -2  1.656  55.50  27.8
2 0 -4  2.118  42.70  26.4
1 5 2  1.709  53.62  24.7
1 3 -4  1.795  50.87  22.5

Crystal structure
a b c (Å): 8.0638 10.6420 8.5040
angles (deg): 90.00 116.76 90.00
Space group C2/c (No. 15)
Inequivalent atoms, fractional coordinates:
Nd 0.0000 0.0000 0.0000 x4
Tl 0.0000 0.2978 0.2500 x4
Mo 0.0000 0.3123 0.7500 x4
O 0.0000 0.0784 0.2500 x4
O 0.0805 0.2131 0.6253 x8
O 0.1867 0.4099 0.8957 x8

No. 2
Calculated X-ray powder pattern of NdTmMo2O8 for Cu Kα (weighted mean of Kα1 and Kα2), from a DFT-relaxed cell (PBE+U, Alexandria).
No peak broadening, texture or thermal motion is included.

Main lines, in order of falling intensity (15 to 90 degrees two-theta):
(hkl)  d/Å  Position (°2θ)  Rel. int.
1 1 2  3.110  28.71  100.0
2 0 4  1.922  47.28  31.2
1 3 2  1.603  57.51  27.6
2 0 0  2.645  33.90  19.8
1 1 6  1.670  54.99  15.9
2 2 0  1.870  48.69  15.0
0 0 4  2.800  31.97  13.1
3 1 6  1.246  76.48  12.2
2 2 4  1.555  59.44  10.6
2 0 8  1.237  77.09  6.3
1 0 1  4.782  18.55  6.2
3 3 2  1.217  78.62  5.6

Crystal structure
a b c (Å): 5.2891 5.2891 11.1980
angles (deg): 90.00 90.00 90.00
Space group I-4 (No. 82)
Inequivalent atoms, fractional coordinates:
Nd 0.0000 0.0000 0.0000 x2
Tm 0.0000 0.5000 0.7500 x2
Mo 0.0000 0.0000 0.5000 x2
Mo 0.0000 0.5000 0.2500 x2
O 0.1702 0.2332 0.5886 x8
O 0.1913 0.7633 0.1614 x8

No. 3
Calculated X-ray powder pattern of NdY3Mo8O30 for Cu Kα (weighted mean of Kα1 and Kα2), from a DFT-relaxed cell (PBE+U, Alexandria).
No peak broadening, texture or thermal motion is included.

Main lines, in order of falling intensity (15 to 90 degrees two-theta):
(hkl)  d/Å  Position (°2θ)  Rel. int.
0 2 2  3.579  24.88  100.0
1 2 -2  3.422  26.04  49.1
1 1 -2  4.300  20.66  48.7
1 0 2  3.697  24.07  41.6
1 1 1  4.518  19.65  37.7
2 0 -2  3.241  27.52  35.6
1 0 -4  2.694  33.25  34.0
-2 1 1  3.276  27.22  29.1
0 1 2  4.625  19.19  29.0
1 -2 1  3.529  25.23  26.3
1 -2 0  3.958  22.46  25.9
2 1 0  3.180  28.06  25.9

Crystal structure
a b c (Å): 6.9672 9.7872 10.8726
angles (deg): 90.04 105.11 90.14
Space group P1 (No. 1)
Inequivalent atoms, fractional coordinates:
Nd 0.0000 0.0000 0.0000 x1
Y 0.0074 0.4510 0.5019 x1
Y 0.4154 0.4992 0.0527 x1
Y 0.4196 0.9531 0.5512 x1
Mo 0.1287 0.7178 0.2683 x1
Mo 0.1383 0.7295 0.7651 x1
Mo 0.2950 0.2348 0.2891 x1
Mo 0.2967 0.2209 0.7841 x1
Mo 0.5936 0.8788 0.1261 x1
Mo 0.5974 0.5712 0.6194 x1
Mo 0.8260 0.3877 0.9325 x1
Mo 0.8308 0.0701 0.4345 x1
O 0.0827 0.4276 0.9636 x1
O 0.0862 0.0273 0.4659 x1
O 0.0956 0.1452 0.1823 x1
O 0.1002 0.3110 0.6753 x1
O 0.1903 0.1051 0.8739 x1
O 0.1915 0.3500 0.3811 x1
O 0.2377 0.6047 0.1773 x1
O 0.2490 0.8460 0.6775 x1
O 0.3210 0.8121 0.3774 x1
O 0.3297 0.6385 0.8772 x1
O 0.3392 0.9218 0.1008 x1
O 0.3419 0.5296 0.5915 x1
O 0.4293 0.3262 0.1950 x1
O 0.4342 0.1286 0.6931 x1
O 0.4533 0.3429 0.8917 x1
O 0.4545 0.1127 0.3938 x1
O 0.5923 0.6977 0.1299 x1
O 0.6015 0.7524 0.6196 x1
O 0.6558 0.9451 0.9892 x1
O 0.6705 0.4995 0.4883 x1
O 0.7140 0.4829 0.7776 x1
O 0.7143 0.9748 0.2802 x1
O 0.7524 0.4536 0.0655 x1
O 0.7557 0.0055 0.5676 x1
O 0.8202 0.2067 0.9258 x1
O 0.8296 0.2512 0.4273 x1
O 0.9613 0.8351 0.1628 x1
O 0.9761 0.6106 0.6575 x1
O 0.9943 0.6233 0.3596 x1
O 0.9963 0.8202 0.8536 x1